Record 1
# Ce2ScWN5
Calculated PXRD pattern, copper Kα. Input: the GGA-PBE geometry in Alexandria.
Kinematic intensities with the Lorentz-polarization factor, no thermal factor.

Largest 6 diffraction maxima, low angle first, 10 to 90 degrees two-theta:
2theta, d [Å], Rel. int., h k l
13.20, 6.710, 28, 0 2 0
29.12, 3.066, 54, 0 2 3
31.79, 2.814, 57, 0 4 2
32.20, 2.780, 100, 1 1 2
33.08, 2.708, 64, 1 3 0
37.75, 2.383, 33, 1 1 3

Crystal structure
```
data_Ce2ScWN5
_cell_length_a 3.4016
_cell_length_b 13.4192
_cell_length_c 10.3427
_cell_angle_alpha 90.00
_cell_angle_beta 90.00
_cell_angle_gamma 90.00
_space_group_name_H-M_alt 'C m c 21'
_space_group_IT_number 36
_space_group_name_Hall 'C 2c -2'
loop_
_atom_site_label
_atom_site_fract_x
_atom_site_fract_y
_atom_site_fract_z
_atom_site_occupancy
Ce1 0.0000 0.1113 0.0000 1
Ce2 0.0000 0.1485 0.6080 1
Sc1 0.0000 0.2157 0.3217 1
W1 0.0000 0.4724 0.7720 1
N1 0.0000 0.0497 0.3609 1
N2 0.0000 0.2793 0.9745 1
N3 0.0000 0.3249 0.6901 1
N4 0.0000 0.3760 0.3148 1
N5 0.0000 0.4873 0.0936 1
```



Record 2
# Ce3SeN3
Calculated PXRD pattern, copper Kα. Input: the GGA-PBE geometry in Alexandria.
Kinematic intensities with the Lorentz-polarization factor, no thermal factor.

Largest 6 diffraction maxima, low angle first, 10 to 90 degrees two-theta:
2theta, d [Å], Rel. int., h k l
30.15, 2.964, 100, 4 0 0
30.99, 2.885, 93, 3 1 -2
31.66, 2.826, 84, 1 1 2
46.59, 1.949, 21, 0 2 0
54.99, 1.670, 19, 5 1 2
56.53, 1.628, 19, 4 2 0

Crystal structure
```
data_Ce3SeN3
_cell_length_a 13.4965
_cell_length_b 3.8987
_cell_length_c 11.8901
_cell_angle_alpha 90.00
_cell_angle_beta 118.68
_cell_angle_gamma 90.00
_space_group_name_H-M_alt 'C 1 2/m 1'
_space_group_IT_number 12
_space_group_name_Hall '-C 2y'
loop_
_atom_site_label
_atom_site_fract_x
_atom_site_fract_y
_atom_site_fract_z
_atom_site_occupancy
Ce1 0.1220 0.0000 0.4432 1
Ce2 0.1301 0.0000 0.8935 1
Ce3 0.1479 0.5000 0.2022 1
Se1 0.1239 0.5000 0.6793 1
N1 0.0621 0.0000 0.2100 1
N2 0.1662 0.5000 0.0130 1
N3 0.1903 0.5000 0.4094 1
```